CuAg6: theoretical powder diffractogram (CuKα), based on a GGA-PBE-relaxed structure.

Main lines, by angle (10° ≤ 2θ ≤ 90°):
| hkl | d/Å | 2theta | Rel. int. |
| --- | --- | --- | --- |
| 2 0 3 | 2.357 | 38.18 | 100 |
| 3 1 1 | 2.052 | 44.13 | 33 |
| 2 0 -4 | 2.020 | 44.87 | 15 |
| 0 2 0 | 1.451 | 64.19 | 10 |
| 1 1 5 | 1.440 | 64.76 | 19 |
| 4 2 -1 | 1.236 | 77.17 | 6 |
| 2 2 3 | 1.235 | 77.22 | 17 |
| 0 0 7 | 1.222 | 78.27 | 10 |
| 2 2 -4 | 1.179 | 81.69 | 7 |
| 4 0 6 | 1.177 | 81.80 | 2 |

Atomic structure:
```
CuAg6
1.0
9.597 0.000 0.000
0.000 2.904 0.000
-0.778 0.000 8.546
Cu Ag
2 12
direct
0.000 0.000 0.000
0.500 0.500 0.000
0.074 0.500 0.272
0.141 0.000 0.570
0.206 0.500 0.863
0.294 0.000 0.137
0.359 0.500 0.430
0.426 0.000 0.728
0.574 0.000 0.272
0.641 0.500 0.570
0.706 0.000 0.863
0.794 0.500 0.137
0.859 0.000 0.430
0.926 0.500 0.728
```